Theoretical XRD peak list
Compound: Pr3Mg2O6
Radiation: λ = 1.5418 Å (Cu Kα)
Structure: a structure optimized by DFT (PBE)
Neutral-atom scattering factors, no anomalous dispersion.

Structure:
abc: 3.9461 3.9461 19.4486
angles: 90.00 90.00 90.00
Space group I4/mmm (No. 139)
One atom of each set of equivalent atoms:
Pr (0.0000, 0.0000, 0.0000) [2 per cell]
Pr (0.0000, 0.0000, 0.1763) [4 per cell]
Mg (0.0000, 0.0000, 0.4023) [4 per cell]
O (0.0000, 0.0000, 0.2956) [4 per cell]
O (0.0000, 0.5000, 0.0904) [8 per cell]

Most intense lines, 2θ = 10–90°, by intensity:
- 2θ = 32.3°, d 2.770, I = 100, hkl 1 0 5
- 2θ = 23.0°, d 3.867, I = 81, hkl 1 0 1
- 2θ = 32.1°, d 2.790, I = 74, hkl 1 1 0
- 2θ = 42.8°, d 2.115, I = 63, hkl 1 1 6
- 2θ = 46.0°, d 1.973, I = 45, hkl 2 0 0
- 2θ = 57.3°, d 1.607, I = 40, hkl 2 1 5

***

Theoretical XRD peak list
Compound: PrMgReO6
Radiation: λ = 1.5418 Å (Cu Kα)
Structure: a structure optimized by DFT (PBE)
Neutral-atom scattering factors, no anomalous dispersion.

Structure:
abc: 5.2517 5.2517 5.0943
angles: 90.00 90.00 120.00
Space group P312 (No. 149)
One atom of each set of equivalent atoms:
Pr (0.0000, 0.0000, 0.0000) [1 per cell]
Mg (0.3333, 0.6667, 0.5000) [1 per cell]
Re (0.6667, 0.3333, 0.5000) [1 per cell]
O (0.3794, 0.0258, 0.7121) [6 per cell]

Most intense lines, 2θ = 10–90°, by intensity:
- 2θ = 26.3°, d 3.393, I = 100, hkl 1 0 1
- 2θ = 49.9°, d 1.828, I = 32, hkl 2 -1 2
- 2θ = 34.1°, d 2.626, I = 29, hkl 1 1 0
- 2θ = 19.5°, d 4.548, I = 27, hkl 1 0 0
- 2θ = 43.6°, d 2.077, I = 24, hkl 2 0 1
- 2θ = 56.5°, d 1.629, I = 24, hkl 3 -1 1

***

Theoretical XRD peak list
Compound: PrMg3Se4O12
Radiation: λ = 1.5418 Å (Cu Kα)
Structure: a structure optimized by DFT (PBE)
Neutral-atom scattering factors, no anomalous dispersion.

Structure:
abc: 10.7660 10.7660 8.0253
angles: 90.00 90.00 120.00
Space group R32 (No. 155, hexagonal axes)
One atom of each set of equivalent atoms:
Pr (0.0000, 0.0000, 0.0000) [3 per cell]
Mg (0.0000, 0.5779, 0.0000) [9 per cell]
Se (0.0000, 0.0000, 0.5000) [3 per cell]
Se (0.0000, 0.3941, 0.5000) [9 per cell]
O (0.0000, 0.5544, 0.5000) [9 per cell]
O (0.0000, 0.8278, 0.5000) [9 per cell]
O (0.0551, 0.1924, 0.1968) [18 per cell]

Most intense lines, 2θ = 10–90°, by intensity:
- 2θ = 29.4°, d 3.041, I = 100, hkl 2 0 2
- 2θ = 28.7°, d 3.108, I = 64, hkl 3 0 0
- 2θ = 33.9°, d 2.648, I = 45, hkl 1 2 2
- 2θ = 16.5°, d 5.383, I = 45, hkl 1 1 0
- 2θ = 48.2°, d 1.888, I = 42, hkl 2 3 2
- 2θ = 27.6°, d 3.227, I = 37, hkl 2 1 1

***

Theoretical XRD peak list
Compound: PrMgSn2O6
Radiation: λ = 1.5418 Å (Cu Kα)
Structure: a structure optimized by DFT (PBE)
Neutral-atom scattering factors, no anomalous dispersion.

Structure:
abc: 8.1916 5.8368 5.6020
angles: 90.00 90.00 90.00
Space group Pmn2_1 (No. 31)
One atom of each set of equivalent atoms:
Pr (0.0000, 0.1895, 0.0000) [2 per cell]
Mg (0.0000, 0.7144, 0.4840) [2 per cell]
Sn (0.2495, 0.7414, 0.9885) [4 per cell]
O (0.0000, 0.3357, 0.5999) [2 per cell]
O (0.0000, 0.8009, 0.8415) [2 per cell]
O (0.1793, 0.9318, 0.3091) [4 per cell]
O (0.1875, 0.4420, 0.1760) [4 per cell]

Most intense lines, 2θ = 10–90°, by intensity:
- 2θ = 31.1°, d 2.877, I = 100, hkl 2 1 1
- 2θ = 54.7°, d 1.677, I = 28, hkl 4 2 0
- 2θ = 56.4°, d 1.631, I = 25, hkl 2 1 3
- 2θ = 32.0°, d 2.801, I = 22, hkl 0 0 2
- 2θ = 30.6°, d 2.918, I = 22, hkl 0 2 0
- 2θ = 44.9°, d 2.021, I = 21, hkl 0 2 2

***

Theoretical XRD peak list
Compound: PrMgTcO6
Radiation: λ = 1.5418 Å (Cu Kα)
Structure: a structure optimized by DFT (PBE)
Neutral-atom scattering factors, no anomalous dispersion.

Structure:
abc: 5.2418 5.2418 5.0881
angles: 90.00 90.00 120.00
Space group P312 (No. 149)
One atom of each set of equivalent atoms:
Pr (0.0000, 0.0000, 0.0000) [1 per cell]
Mg (0.3333, 0.6667, 0.5000) [1 per cell]
Tc (0.6667, 0.3333, 0.5000) [1 per cell]
O (0.3795, 0.0247, 0.7127) [6 per cell]

Most intense lines, 2θ = 10–90°, by intensity:
- 2θ = 26.3°, d 3.387, I = 100, hkl 1 0 1
- 2θ = 50.0°, d 1.825, I = 33, hkl 2 -1 2
- 2θ = 34.2°, d 2.621, I = 26, hkl 1 1 0
- 2θ = 43.7°, d 2.073, I = 23, hkl 2 0 1
- 2θ = 56.6°, d 1.626, I = 23, hkl 3 -1 1
- 2θ = 19.6°, d 4.540, I = 21, hkl 1 0 0